Theoretical powder diffractogram of Pm4Nd2Al for a wavelength of 1.5418 Å, from a crystal structure in Alexandria, relaxed with GGA-PBE.
No peak broadening, texture or thermal motion is included.

Structure:
a = 19.807 Å, b = 19.807 Å, c = 19.807 Å
α = 10.68°, β = 10.68°, γ = 10.68°
Element x y z (fractional)
Pm: 0.091 0.091 0.091
Pm: 0.295 0.295 0.295
Pm: 0.705 0.705 0.705
Pm: 0.909 0.909 0.909
Nd: 0.192 0.192 0.192
Nd: 0.808 0.808 0.808
Al: 0.000 0.000 0.000

Largest 10 diffraction maxima, in order of rising 2θ, 10° ≤ 2θ ≤ 90°:
Position (°2θ)  d_spacing  I/Imax
27.2  3.282  20
28.0  3.188  15
28.1  3.174  17
30.5  2.930  33
31.9  2.809  100
32.6  2.744  36
41.7  2.168  18
49.5  1.843  30
53.3  1.717  15
60.0  1.541  31


Theoretical powder diffractogram of ErCu8Au3 for a wavelength of 1.5418 Å, from a crystal structure in Alexandria, relaxed with GGA-PBE.
No peak broadening, texture or thermal motion is included.

Structure:
a = 4.984 Å, b = 4.984 Å, c = 8.094 Å
α = 90.00°, β = 90.00°, γ = 120.00°
Element x y z (fractional)
Er: 0.000 0.000 0.000
Cu: 0.165 0.330 0.682
Cu: 0.165 0.835 0.682
Cu: 0.333 0.667 0.435
Cu: 0.333 0.667 0.935
Cu: 0.502 0.005 0.193
Cu: 0.502 0.498 0.193
Cu: 0.670 0.835 0.682
Cu: 0.995 0.498 0.193
Au: 0.000 0.000 0.374
Au: 0.667 0.333 0.501
Au: 0.667 0.333 0.877

Largest 10 diffraction maxima, in order of rising 2θ, 10° ≤ 2θ ≤ 90°:
Position (°2θ)  d_spacing  I/Imax
36.0  2.492  69
39.4  2.288  100
41.9  2.158  16
42.6  2.122  99
43.4  2.085  53
67.0  1.396  41
69.3  1.356  23
73.1  1.295  27
76.4  1.246  22
89.6  1.094  20


Theoretical powder diffractogram of Y5PbS4 for a wavelength of 1.5418 Å, from a crystal structure in Alexandria, relaxed with GGA-PBE.
No peak broadening, texture or thermal motion is included.

Structure:
a = 6.966 Å, b = 6.966 Å, c = 10.029 Å
α = 118.12°, β = 118.12°, γ = 33.21°
Element x y z (fractional)
Y: 0.000 0.000 0.000
Y: 0.206 0.206 0.819
Y: 0.391 0.391 0.618
Y: 0.609 0.609 0.382
Y: 0.794 0.794 0.181
Pb: 0.000 0.000 0.500
S: 0.204 0.204 0.289
S: 0.405 0.405 0.100
S: 0.595 0.595 0.900
S: 0.796 0.796 0.711

Largest 10 diffraction maxima, in order of rising 2θ, 10° ≤ 2θ ≤ 90°:
Position (°2θ)  d_spacing  I/Imax
10.1  8.732  17
24.2  3.678  11
31.1  2.878  58
31.5  2.840  100
44.5  2.035  35
44.7  2.026  16
45.2  2.008  37
45.6  1.991  21
56.2  1.637  21
74.1  1.280  12


Theoretical powder diffractogram of BaCd2Mo for a wavelength of 1.5418 Å, from a crystal structure in Alexandria, relaxed with GGA-PBE.
No peak broadening, texture or thermal motion is included.

Structure:
a = 4.881 Å, b = 4.881 Å, c = 17.991 Å
α = 90.00°, β = 90.00°, γ = 120.00°
Element x y z (fractional)
Ba: 0.000 0.000 0.000
Ba: 0.333 0.667 0.667
Ba: 0.667 0.333 0.333
Cd: 0.000 0.000 0.200
Cd: 0.000 0.000 0.800
Cd: 0.333 0.667 0.466
Cd: 0.333 0.667 0.867
Cd: 0.667 0.333 0.133
Cd: 0.667 0.333 0.534
Mo: 0.000 0.000 0.500
Mo: 0.333 0.667 0.167
Mo: 0.667 0.333 0.833

Largest 10 diffraction maxima, in order of rising 2θ, 10° ≤ 2θ ≤ 90°:
Position (°2θ)  d_spacing  I/Imax
14.8  5.997  35
21.6  4.115  20
29.0  3.080  83
29.8  2.998  25
32.7  2.740  46
36.8  2.441  100
47.5  1.913  21
48.1  1.893  38
55.5  1.655  29
80.4  1.195  22


Theoretical powder diffractogram of YTaTiIr2 for a wavelength of 1.5418 Å, from a crystal structure in Alexandria, relaxed with GGA-PBE.
No peak broadening, texture or thermal motion is included.

Structure:
a = 4.346 Å, b = 4.346 Å, c = 10.623 Å
α = 90.00°, β = 90.00°, γ = 90.00°
Element x y z (fractional)
Y: 0.000 0.000 0.000
Y: 0.500 0.500 0.500
Ta: 0.000 0.500 0.250
Ta: 0.500 0.000 0.750
Ti: 0.000 0.500 0.750
Ti: 0.500 0.000 0.250
Ir: 0.000 0.000 0.378
Ir: 0.000 0.000 0.622
Ir: 0.500 0.500 0.122
Ir: 0.500 0.500 0.878

Largest 10 diffraction maxima, in order of rising 2θ, 10° ≤ 2θ ≤ 90°:
Position (°2θ)  d_spacing  I/Imax
22.1  4.022  97
32.6  2.745  100
33.7  2.660  77
41.6  2.173  93
45.1  2.009  85
47.6  1.910  71
53.8  1.704  49
60.2  1.536  31
65.0  1.434  40
78.3  1.221  33


Theoretical powder diffractogram of Ac6Pb5 for a wavelength of 1.5418 Å, from a crystal structure in Alexandria, relaxed with GGA-PBE.
No peak broadening, texture or thermal motion is included.

Structure:
a = 10.340 Å, b = 10.340 Å, c = 10.340 Å
α = 146.04°, β = 136.23°, γ = 56.53°
Element x y z (fractional)
Ac: 0.076 0.331 0.744
Ac: 0.236 0.000 0.236
Ac: 0.413 0.669 0.744
Ac: 0.587 0.331 0.256
Ac: 0.764 0.000 0.764
Ac: 0.924 0.669 0.256
Pb: 0.000 0.500 0.500
Pb: 0.170 0.170 0.000
Pb: 0.345 0.845 0.500
Pb: 0.655 0.155 0.500
Pb: 0.830 0.830 0.000

Largest 10 diffraction maxima, in order of rising 2θ, 10° ≤ 2θ ≤ 90°:
Position (°2θ)  d_spacing  I/Imax
29.4  3.036  28
29.6  3.020  29
31.2  2.865  100
42.2  2.141  22
47.2  1.927  8
53.3  1.718  21
53.5  1.712  23
56.6  1.626  19
65.1  1.432  12
70.3  1.338  9


Theoretical powder diffractogram of NaVPd6 for a wavelength of 1.5418 Å, from a crystal structure in Alexandria, relaxed with GGA-PBE.
No peak broadening, texture or thermal motion is included.

Structure:
a = 3.958 Å, b = 3.958 Å, c = 7.899 Å
α = 90.00°, β = 90.00°, γ = 90.00°
Element x y z (fractional)
Na: 0.000 0.000 0.000
V: 0.000 0.000 0.500
Pd: 0.000 0.500 0.267
Pd: 0.000 0.500 0.733
Pd: 0.500 0.000 0.267
Pd: 0.500 0.000 0.733
Pd: 0.500 0.500 0.000
Pd: 0.500 0.500 0.500

Largest 10 diffraction maxima, in order of rising 2θ, 10° ≤ 2θ ≤ 90°:
Position (°2θ)  d_spacing  I/Imax
11.2  7.899  6
22.5  3.955  12
32.0  2.797  10
39.5  2.284  100
45.9  1.979  33
46.0  1.975  15
66.9  1.398  29
80.5  1.193  24
80.6  1.191  9
84.9  1.142  10


Theoretical powder diffractogram of Pm2PrSmDy2 for a wavelength of 1.5418 Å, from a crystal structure in Alexandria, relaxed with GGA-PBE.
No peak broadening, texture or thermal motion is included.

Structure:
a = 6.628 Å, b = 18.211 Å, c = 3.426 Å
α = 90.00°, β = 90.00°, γ = 90.00°
Element x y z (fractional)
Pm: 0.221 0.187 0.000
Pm: 0.279 0.687 0.500
Pm: 0.721 0.313 0.500
Pm: 0.779 0.813 0.000
Pr: 0.000 0.000 0.000
Pr: 0.500 0.500 0.500
Sm: 0.000 0.500 0.000
Sm: 0.500 0.000 0.500
Dy: 0.219 0.353 0.500
Dy: 0.281 0.853 0.000
Dy: 0.719 0.147 0.000
Dy: 0.781 0.647 0.500

Largest 10 diffraction maxima, in order of rising 2θ, 10° ≤ 2θ ≤ 90°:
Position (°2θ)  d_spacing  I/Imax
26.5  3.367  33
28.7  3.114  98
29.4  3.037  100
30.0  2.983  90
31.0  2.886  36
32.4  2.760  37
33.4  2.679  59
35.5  2.530  41
40.7  2.217  65
54.5  1.685  33


Theoretical powder diffractogram of Dy2TlZn3 for a wavelength of 1.5418 Å, from a crystal structure in Alexandria, relaxed with GGA-PBE.
No peak broadening, texture or thermal motion is included.

Structure:
a = 9.190 Å, b = 8.728 Å, c = 5.825 Å
α = 75.39°, β = 66.78°, γ = 37.83°
Element x y z (fractional)
Dy: 0.244 0.756 0.756
Dy: 0.250 0.250 0.250
Dy: 0.750 0.750 0.750
Dy: 0.756 0.244 0.244
Tl: 0.335 0.335 0.665
Tl: 0.665 0.665 0.335
Zn: 0.161 0.161 0.839
Zn: 0.162 0.679 0.321
Zn: 0.321 0.838 0.162
Zn: 0.679 0.162 0.838
Zn: 0.838 0.321 0.679
Zn: 0.839 0.839 0.161

Largest 10 diffraction maxima, in order of rising 2θ, 10° ≤ 2θ ≤ 90°:
Position (°2θ)  d_spacing  I/Imax
23.0  3.868  11
33.7  2.662  100
39.2  2.297  64
51.0  1.791  10
52.6  1.739  29
66.2  1.412  27
67.6  1.387  26
71.1  1.326  11
84.3  1.149  7
84.8  1.144  7


Theoretical powder diffractogram of Hf4PbSe8 for a wavelength of 1.5418 Å, from a crystal structure in Alexandria, relaxed with GGA-PBE.
No peak broadening, texture or thermal motion is included.

Structure:
a = 8.649 Å, b = 8.649 Å, c = 8.649 Å
α = 51.30°, β = 51.30°, γ = 51.30°
Element x y z (fractional)
Hf: 0.000 0.000 0.000
Hf: 0.000 0.500 0.500
Hf: 0.500 0.000 0.500
Hf: 0.500 0.500 0.000
Pb: 0.500 0.500 0.500
Se: 0.237 0.237 0.742
Se: 0.237 0.742 0.237
Se: 0.258 0.763 0.763
Se: 0.263 0.263 0.263
Se: 0.737 0.737 0.737
Se: 0.742 0.237 0.237
Se: 0.763 0.258 0.763
Se: 0.763 0.763 0.258

Largest 10 diffraction maxima, in order of rising 2θ, 10° ≤ 2θ ≤ 90°:
Position (°2θ)  d_spacing  I/Imax
11.8  7.491  61
14.2  6.230  11
27.8  3.209  13
31.9  2.808  100
39.5  2.281  16
42.6  2.123  42
48.6  1.872  41
59.3  1.558  17
71.2  1.324  16
80.2  1.197  15


Theoretical powder diffractogram of NdHgBi2 for a wavelength of 1.5418 Å, from a crystal structure in Alexandria, relaxed with GGA-PBE.
No peak broadening, texture or thermal motion is included.

Structure:
a = 4.867 Å, b = 4.867 Å, c = 4.951 Å
α = 90.00°, β = 90.00°, γ = 90.00°
Element x y z (fractional)
Nd: 0.000 0.000 0.000
Hg: 0.500 0.500 0.000
Bi: 0.000 0.500 0.500
Bi: 0.500 0.000 0.500

Largest 10 diffraction maxima, in order of rising 2θ, 10° ≤ 2θ ≤ 90°:
Position (°2θ)  d_spacing  I/Imax
31.7  2.826  100
36.3  2.475  17
36.9  2.433  33
52.8  1.735  24
53.2  1.721  12
62.4  1.488  15
63.3  1.470  29
66.1  1.413  13
86.5  1.126  13
87.2  1.118  6


Theoretical powder diffractogram of BaSr14Pr for a wavelength of 1.5418 Å, from a crystal structure in Alexandria, relaxed with GGA-PBE.
No peak broadening, texture or thermal motion is included.

Structure:
a = 13.814 Å, b = 8.445 Å, c = 8.445 Å
α = 59.91°, β = 90.00°, γ = 90.00°
Element x y z (fractional)
Ba: 0.000 0.000 0.000
Sr: 0.000 0.001 0.498
Sr: 0.000 0.498 0.001
Sr: 0.243 0.664 0.664
Sr: 0.245 0.173 0.662
Sr: 0.245 0.662 0.173
Sr: 0.252 0.167 0.167
Sr: 0.500 0.334 0.334
Sr: 0.500 0.335 0.832
Sr: 0.500 0.832 0.335
Sr: 0.500 0.833 0.833
Sr: 0.748 0.167 0.167
Sr: 0.755 0.173 0.662
Sr: 0.755 0.662 0.173
Sr: 0.757 0.664 0.664
Pr: 0.000 0.501 0.501

Largest 10 diffraction maxima, in order of rising 2θ, 10° ≤ 2θ ≤ 90°:
Position (°2θ)  d_spacing  I/Imax
25.2  3.534  50
25.8  3.454  36
27.6  3.231  100
31.2  2.863  29
40.9  2.204  14
42.9  2.110  28
46.6  1.948  23
50.7  1.801  34
51.7  1.767  17
70.5  1.336  12


Theoretical powder diffractogram of ZrBe5Al for a wavelength of 1.5418 Å, from a crystal structure in Alexandria, relaxed with GGA-PBE.
No peak broadening, texture or thermal motion is included.

Structure:
a = 7.431 Å, b = 4.342 Å, c = 9.566 Å
α = 90.00°, β = 90.00°, γ = 90.00°
Element x y z (fractional)
Zr: 0.221 0.250 0.059
Zr: 0.279 0.750 0.559
Zr: 0.721 0.250 0.441
Zr: 0.779 0.750 0.941
Be: 0.035 0.750 0.129
Be: 0.058 0.000 0.318
Be: 0.058 0.500 0.318
Be: 0.065 0.250 0.514
Be: 0.205 0.250 0.733
Be: 0.295 0.750 0.233
Be: 0.435 0.750 0.014
Be: 0.442 0.000 0.818
Be: 0.442 0.500 0.818
Be: 0.465 0.250 0.629
Be: 0.535 0.750 0.371
Be: 0.558 0.000 0.182
Be: 0.558 0.500 0.182
Be: 0.565 0.250 0.986
Be: 0.705 0.250 0.767
Be: 0.795 0.750 0.267
Be: 0.935 0.750 0.486
Be: 0.942 0.000 0.682
Be: 0.942 0.500 0.682
Be: 0.965 0.250 0.871
Al: 0.146 0.750 0.855
Al: 0.354 0.250 0.355
Al: 0.646 0.750 0.645
Al: 0.854 0.250 0.145

Largest 10 diffraction maxima, in order of rising 2θ, 10° ≤ 2θ ≤ 90°:
Position (°2θ)  d_spacing  I/Imax
18.6  4.783  32
22.1  4.022  26
22.5  3.954  28
24.0  3.715  40
25.5  3.490  100
34.9  2.570  43
37.0  2.429  38
39.6  2.277  36
42.8  2.114  43
43.1  2.099  40